[1]
The following is a calculated powder diffraction line list of Ti7GaAu2. It was derived from a DFT-relaxed cell (GGA-PBE, Alexandria), using Cu Kα, 1.54184 Å.
No peak broadening, texture or thermal motion is included.

Atomic structure:
abc: 6.552 6.552 6.552
angles: 60.00 60.00 60.00
Fractional positions:
Ti 0.000 0.000 0.000
Ti 0.246 0.246 0.754
Ti 0.246 0.754 0.246
Ti 0.246 0.754 0.754
Ti 0.754 0.246 0.246
Ti 0.754 0.246 0.754
Ti 0.754 0.754 0.246
Ga 0.500 0.500 0.500
Au 0.250 0.250 0.250
Au 0.750 0.750 0.750

Main lines, in order of rising 2θ (2θ = 10–80°):
d 4.633, I = 18
d 3.276, I = 100
d 2.675, I = 70
d 2.316, I = 71
d 2.072, I = 11
d 1.891, I = 44
d 1.638, I = 47
d 1.544, I = 6
d 1.465, I = 19
d 1.397, I = 27
d 1.337, I = 15
d 1.238, I = 23

[2]
The following is a calculated powder diffraction line list of Na2MgHgI6. It was derived from a DFT-relaxed cell (GGA-PBE, Alexandria), using Cu Kα, 1.54184 Å.
No peak broadening, texture or thermal motion is included.

Atomic structure:
abc: 7.897 7.897 8.739
angles: 63.21 63.18 60.09
Fractional positions:
Na 0.000 0.000 0.000
Na 0.470 0.470 0.590
Mg 0.783 0.783 0.651
Hg 0.213 0.215 0.357
I 0.052 0.419 0.816
I 0.179 0.889 0.342
I 0.419 0.714 0.815
I 0.589 0.181 0.341
I 0.713 0.052 0.816
I 0.888 0.591 0.341

Main lines, in order of rising 2θ (2θ = 10–80°):
d 7.459, I = 10
d 6.543, I = 9
d 5.837, I = 12
d 4.331, I = 12
d 3.729, I = 36
d 3.491, I = 100
d 2.281, I = 33
d 2.104, I = 24
d 1.947, I = 10
d 1.945, I = 19
d 1.909, I = 14
d 1.444, I = 11

Repeat the second record exactly.
The following is a calculated powder diffraction line list of Na2MgHgI6. It was derived from a DFT-relaxed cell (GGA-PBE, Alexandria), using Cu Kα, 1.54184 Å.
No peak broadening, texture or thermal motion is included.

Atomic structure:
abc: 7.897 7.897 8.739
angles: 63.21 63.18 60.09
Fractional positions:
Na 0.000 0.000 0.000
Na 0.470 0.470 0.590
Mg 0.783 0.783 0.651
Hg 0.213 0.215 0.357
I 0.052 0.419 0.816
I 0.179 0.889 0.342
I 0.419 0.714 0.815
I 0.589 0.181 0.341
I 0.713 0.052 0.816
I 0.888 0.591 0.341

Main lines, in order of rising 2θ (2θ = 10–80°):
d 7.459, I = 10
d 6.543, I = 9
d 5.837, I = 12
d 4.331, I = 12
d 3.729, I = 36
d 3.491, I = 100
d 2.281, I = 33
d 2.104, I = 24
d 1.947, I = 10
d 1.945, I = 19
d 1.909, I = 14
d 1.444, I = 11

Please write out number 1 again, unchanged.
The following is a calculated powder diffraction line list of Ti7GaAu2. It was derived from a DFT-relaxed cell (GGA-PBE, Alexandria), using Cu Kα, 1.54184 Å.
No peak broadening, texture or thermal motion is included.

Atomic structure:
abc: 6.552 6.552 6.552
angles: 60.00 60.00 60.00
Fractional positions:
Ti 0.000 0.000 0.000
Ti 0.246 0.246 0.754
Ti 0.246 0.754 0.246
Ti 0.246 0.754 0.754
Ti 0.754 0.246 0.246
Ti 0.754 0.246 0.754
Ti 0.754 0.754 0.246
Ga 0.500 0.500 0.500
Au 0.250 0.250 0.250
Au 0.750 0.750 0.750

Main lines, in order of rising 2θ (2θ = 10–80°):
d 4.633, I = 18
d 3.276, I = 100
d 2.675, I = 70
d 2.316, I = 71
d 2.072, I = 11
d 1.891, I = 44
d 1.638, I = 47
d 1.544, I = 6
d 1.465, I = 19
d 1.397, I = 27
d 1.337, I = 15
d 1.238, I = 23

Number 2 is which compound?
Na2MgHgI6